Starting from a cell relaxed with PBE, the powder XRD pattern of ReSi23 was computed for CuKα.
Intensities are scaled so that the largest is 100.

Top 6 peaks for 2θ = 5–70°, in order of rising 2θ:
- hkl 1 1 0, d 7.209, 12.28 deg, intensity 100
- hkl 2 1 0, d 4.560, 19.47 deg, intensity 19
- hkl 3 2 1, d 2.725, 32.87 deg, intensity 89
- hkl 3 3 0, d 2.403, 37.42 deg, intensity 27
- hkl 6 0 0, d 1.699, 53.96 deg, intensity 16
- hkl 5 3 2, d 1.654, 55.57 deg, intensity 36

Structural model:
Cell: 10.1954 10.1954 10.1954 Å, 90.00 90.00 90.00°
Positions (direct):
Re (0.0000, 0.0000, 0.0000)
Re (0.5000, 0.5000, 0.5000)
Si (0.0000, 0.1163, 0.3077)
Si (0.0000, 0.1163, 0.6923)
Si (0.0000, 0.2500, 0.5000)
Si (0.0000, 0.7500, 0.5000)
Si (0.0000, 0.8837, 0.3077)
Si (0.0000, 0.8837, 0.6923)
Si (0.1163, 0.3077, 0.0000)
Si (0.1163, 0.6923, 0.0000)
Si (0.1818, 0.1818, 0.1818)
Si (0.1818, 0.1818, 0.8182)
Si (0.1818, 0.8182, 0.1818)
Si (0.1818, 0.8182, 0.8182)
Si (0.1923, 0.3837, 0.5000)
Si (0.1923, 0.6163, 0.5000)
Si (0.2500, 0.5000, 0.0000)
Si (0.3077, 0.0000, 0.1163)
Si (0.3077, 0.0000, 0.8837)
Si (0.3182, 0.3182, 0.3182)
Si (0.3182, 0.3182, 0.6818)
Si (0.3182, 0.6818, 0.3182)
Si (0.3182, 0.6818, 0.6818)
Si (0.3837, 0.5000, 0.1923)
Si (0.3837, 0.5000, 0.8077)
Si (0.5000, 0.0000, 0.2500)
Si (0.5000, 0.0000, 0.7500)
Si (0.5000, 0.1923, 0.3837)
Si (0.5000, 0.1923, 0.6163)
Si (0.5000, 0.8077, 0.3837)
Si (0.5000, 0.8077, 0.6163)
Si (0.6163, 0.5000, 0.1923)
Si (0.6163, 0.5000, 0.8077)
Si (0.6818, 0.3182, 0.3182)
Si (0.6818, 0.3182, 0.6818)
Si (0.6818, 0.6818, 0.3182)
Si (0.6818, 0.6818, 0.6818)
Si (0.6923, 0.0000, 0.1163)
Si (0.6923, 0.0000, 0.8837)
Si (0.7500, 0.5000, 0.0000)
Si (0.8077, 0.3837, 0.5000)
Si (0.8077, 0.6163, 0.5000)
Si (0.8182, 0.1818, 0.1818)
Si (0.8182, 0.1818, 0.8182)
Si (0.8182, 0.8182, 0.1818)
Si (0.8182, 0.8182, 0.8182)
Si (0.8837, 0.3077, 0.0000)
Si (0.8837, 0.6923, 0.0000)